Entry 1:
The following is a theoretical PXRD pattern of Ti2C3N6. It was derived from a structure optimized by DFT (PBE), using Cu Kα (λ = 1.5418 Å).
No peak broadening, texture or thermal motion is included.

The 8 most intense peaks (2θ from 10° to 90°), sorted by position:
2θ = 18.34°, intensity 28; 2θ = 19.15°, intensity 92; 2θ = 21.92°, intensity 51; 2θ = 33.05°, intensity 59; 2θ = 36.86°, intensity 100; 2θ = 49.63°, intensity 44; 2θ = 56.45°, intensity 29; 2θ = 66.81°, intensity 13

Structure:
```
Ti2C3N6
1.0
4.8885 -2.8244 0.0000
4.8885 2.8244 0.0000
-3.2687 0.0000 9.6756
Ti C N
4 6 12
direct
0.1651 0.6673 0.9999
0.3327 0.8349 0.5001
0.6673 0.1651 0.4999
0.8349 0.3327 0.0001
0.0657 0.9343 0.7500
0.2500 0.4343 0.2503
0.4343 0.2500 0.7503
0.5657 0.7500 0.2497
0.7500 0.5657 0.7497
0.9343 0.0657 0.2500
0.0490 0.9275 0.6263
0.0725 0.9510 0.8737
0.1492 0.4276 0.1265
0.3506 0.4511 0.3739
0.4276 0.1492 0.6265
0.4511 0.3506 0.8739
0.5489 0.6494 0.1261
0.5724 0.8508 0.3735
0.6494 0.5489 0.6261
0.8508 0.5724 0.8735
0.9275 0.0490 0.1263
0.9510 0.0725 0.3737
```

***

Entry 2:
The following is a theoretical PXRD pattern of LaAlPt. It was derived from a structure optimized by DFT (PBE), using Cu Kα (λ = 1.5418 Å).
No peak broadening, texture or thermal motion is included.

The 8 most intense peaks (2θ from 10° to 90°), sorted by position:
2θ = 25.63°, intensity 98; 2θ = 32.39°, intensity 47; 2θ = 33.39°, intensity 100; 2θ = 38.67°, intensity 15; 2θ = 39.49°, intensity 64; 2θ = 43.65°, intensity 26; 2θ = 47.67°, intensity 16; 2θ = 67.74°, intensity 16

Structure:
```
LaAlPt
1.0
7.3114 0.0000 0.0000
0.0000 4.5676 0.0000
0.0000 0.0000 7.8918
La Al Pt
4 4 4
direct
0.0342 0.2500 0.1807
0.4658 0.7500 0.6807
0.5342 0.2500 0.3193
0.9658 0.7500 0.8193
0.1435 0.2500 0.5685
0.3565 0.7500 0.0685
0.6435 0.2500 0.9315
0.8565 0.7500 0.4315
0.2136 0.7500 0.3895
0.2864 0.2500 0.8895
0.7136 0.7500 0.1105
0.7864 0.2500 0.6105
```

***

Entry 3:
The following is a theoretical PXRD pattern of K2Re. It was derived from a structure optimized by DFT (PBE), using Cu Kα (λ = 1.5418 Å).
No peak broadening, texture or thermal motion is included.

The 8 most intense peaks (2θ from 10° to 90°), sorted by position:
2θ = 18.74°, intensity 100; 2θ = 21.18°, intensity 66; 2θ = 26.22°, intensity 29; 2θ = 28.43°, intensity 86; 2θ = 32.76°, intensity 54; 2θ = 34.27°, intensity 69; 2θ = 50.10°, intensity 32; 2θ = 52.10°, intensity 31

Structure:
```
K2Re
1.0
9.4690 0.0000 0.0000
-4.7345 8.2004 0.0000
0.0000 0.0000 4.8815
K Re
6 3
direct
0.0000 0.2574 0.0000
0.0000 0.5893 0.5000
0.2574 0.0000 0.0000
0.4107 0.4107 0.5000
0.5893 0.0000 0.5000
0.7426 0.7426 0.0000
0.0000 0.0000 0.5000
0.3333 0.6667 0.0000
0.6667 0.3333 0.0000
```